Simulated powder X-ray diffraction pattern of KNaW4O12 for copper Kα, from a GGA+U-relaxed structure.
Intensities are scaled so that the largest is 100.

Crystal structure
Lattice parameters (Å, degrees): 5.544 5.544 7.849 90.00 90.00 90.00
Space group P4/mmm (No. 123)
Asymmetric unit:
K1 0.000 0.000 0.000
Na1 0.500 0.500 0.500
W1 0.000 0.500 0.251
O1 0.000 0.500 0.000
O2 0.000 0.500 0.500
O3 0.252 0.252 0.253

Peak list (6 most intense, 10 to 90 degrees two-theta, in order of rising 2θ)
| index | two_theta | I_rel |
| --- | --- | --- |
| 1 1 0 | 22.7 | 100 |
| 2 0 0 | 32.3 | 81 |
| 2 2 0 | 46.3 | 27 |
| 3 1 0 | 52.2 | 42 |
| 3 1 2 | 57.6 | 32 |
| 4 0 2 | 72.3 | 20 |